Starting from a crystal structure in Alexandria, relaxed with PBE+U, the powder X-ray diffraction pattern of TlVHg2O4 was simulated for Cu Kα.
Lines closer than 0.1° are merged.

Cell and atoms:
```
8
Lattice="0.0000 4.1867 5.4414 3.3350 0.0000 5.4414 3.3350 4.1867 0.0000" Properties=species:S:1:pos:R:3 pbc="T T T"
Tl 0.0000 0.0000 0.0000
V 3.3350 4.1867 6.1623
Hg 1.6675 2.0933 3.1976
Hg 5.0025 6.2800 8.6390
O 3.3350 2.7675 5.1649
O 4.7839 4.1867 7.1969
O 3.3350 5.6059 5.1649
O 1.8861 4.1867 7.1969
```

Largest 10 diffraction maxima, by angle, 2θ from 15° to 90°:
d (Å)  I_rel
4.704  213
3.318  1000
2.978  131
2.843  770
2.721  220
2.609  516
2.093  170
1.883  371
1.686  297
1.490  305